Diffraction record for Tb2Cd3Hg3. The powder X-ray diffraction pattern is calculated, not measured: it uses a crystal structure in OQMD, relaxed with PBE and a wavelength of 1.5418 Å.
No peak broadening, texture or thermal motion is included.

Largest 10 diffraction maxima, in order of rising 2θ, 2θ = 10–90°:
31.16°, intensity 20, hkl 0 2 2; 31.32°, intensity 9, hkl 0 0 4; 36.16°, intensity 100, hkl 2 0 0; 36.29°, intensity 38, hkl 1 0 4; 48.50°, intensity 12, hkl 2 2 2; 55.35°, intensity 7, hkl 0 4 0; 55.64°, intensity 14, hkl 0 2 6; 65.11°, intensity 20, hkl 3 0 4; 67.97°, intensity 20, hkl 2 4 0; 68.20°, intensity 15, hkl 2 2 6

Cell and atoms:
Cell: 4.963 6.640 11.426 Å, 90.00 90.00 90.00°
Space group Amm2 (No. 38)
Unique sites:
1 Tb 0.000 0.000 0.000 [2 per cell]
2 Tb 0.500 0.000 0.334 [2 per cell]
3 Cd 0.000 0.238 0.745 [4 per cell]
4 Cd 0.500 0.000 0.821 [2 per cell]
5 Hg 0.000 0.000 0.493 [2 per cell]
6 Hg 0.500 0.246 0.082 [4 per cell]

Diffraction record for YCdHg2. The powder X-ray diffraction pattern is calculated, not measured: it uses a crystal structure in OQMD, relaxed with PBE and a wavelength of 1.5418 Å.
No peak broadening, texture or thermal motion is included.

Largest 10 diffraction maxima, in order of rising 2θ, 2θ = 10–90°:
20.92°, intensity 8, hkl 0 0 1; 26.38°, intensity 9, hkl 1 1 0; 33.90°, intensity 100, hkl 1 1 1; 37.65°, intensity 38, hkl 2 0 0; 42.57°, intensity 13, hkl 0 0 2; 54.31°, intensity 13, hkl 2 2 0; 58.12°, intensity 21, hkl 2 0 2; 65.58°, intensity 30, hkl 3 1 1; 71.34°, intensity 12, hkl 2 2 2; 72.37°, intensity 11, hkl 1 1 3

Cell and atoms:
Cell: 4.778 4.778 4.247 Å, 90.00 90.00 90.00°
Space group P4/mmm (No. 123)
Unique sites:
1 Y 0.000 0.000 0.000 [1 per cell]
2 Cd 0.500 0.500 0.000 [1 per cell]
3 Hg 0.000 0.500 0.500 [2 per cell]

Diffraction record for Zr2Cd3Hg3. The powder X-ray diffraction pattern is calculated, not measured: it uses a crystal structure in OQMD, relaxed with PBE and a wavelength of 1.5418 Å.
No peak broadening, texture or thermal motion is included.

Largest 10 diffraction maxima, in order of rising 2θ, 2θ = 10–90°:
35.18°, intensity 100, hkl 1 1 2; 39.48°, intensity 18, hkl 0 2 0; 39.94°, intensity 18, hkl 2 0 0; 43.04°, intensity 14, hkl 0 0 4; 57.41°, intensity 12, hkl 2 2 0; 59.82°, intensity 11, hkl 0 2 4; 68.83°, intensity 14, hkl 1 3 2; 69.46°, intensity 14, hkl 3 1 2; 73.79°, intensity 11, hkl 1 1 6; 74.37°, intensity 11, hkl 2 2 4

Cell and atoms:
Cell: 4.515 4.565 8.406 Å, 90.00 90.00 90.00°
Space group Pmmm (No. 47)
Unique sites:
1 Zr 0.000 0.000 0.248 [2 per cell]
2 Cd 0.000 0.500 0.500 [1 per cell]
3 Cd 0.500 0.500 0.253 [2 per cell]
4 Hg 0.000 0.500 0.000 [1 per cell]
5 Hg 0.500 0.000 0.000 [1 per cell]
6 Hg 0.500 0.000 0.500 [1 per cell]